No. 1
This entry pairs a crystal structure of TmCl2 with its calculated powder diffractogram. Radiation: CuKα. Structure: a GGA-PBE-relaxed structure.
Kinematic intensities with the Lorentz-polarization factor, no thermal factor.

Cell and atoms:
```
data_TmCl2
_cell_length_a 6.2151
_cell_length_b 12.2179
_cell_length_c 7.1977
_cell_angle_alpha 90.00
_cell_angle_beta 90.00
_cell_angle_gamma 90.00
_space_group_name_H-M_alt 'P b c a'
_space_group_IT_number 61
_space_group_name_Hall '-P 2ac 2ab'
loop_
_atom_site_label
_atom_site_type_symbol
_atom_site_fract_x
_atom_site_fract_y
_atom_site_fract_z
_atom_site_occupancy
Tm1 Tm 0.1809 0.0975 0.0459 1
Cl1 Cl 0.0214 0.0436 0.7057 1
Cl2 Cl 0.1936 0.7075 0.3744 1
```

Most intense lines, 15° ≤ 2θ ≤ 90°, in order of rising 2θ:
2θ 20.23, rel. 22, (1 1 1)
2θ 23.87, rel. 100, (1 2 1)
2θ 24.74, rel. 17, (0 0 2)
2θ 28.71, rel. 16, (2 0 0)
2θ 35.03, rel. 31, (1 4 1)
2θ 36.36, rel. 28, (2 3 0)
2θ 40.39, rel. 17, (0 2 3)
2θ 43.04, rel. 16, (1 2 3)
2θ 44.49, rel. 19, (0 6 0)
2θ 46.20, rel. 22, (3 1 1)

No. 2
This entry pairs a crystal structure of U3Cl with its calculated powder diffractogram. Radiation: CuKα. Structure: a GGA-PBE-relaxed structure.
Kinematic intensities with the Lorentz-polarization factor, no thermal factor.

Cell and atoms:
```
data_U3Cl
_cell_length_a 4.0803
_cell_length_b 4.0803
_cell_length_c 9.3001
_cell_angle_alpha 90.00
_cell_angle_beta 90.00
_cell_angle_gamma 90.00
_space_group_name_H-M_alt 'I 4/m m m'
_space_group_IT_number 139
_space_group_name_Hall '-I 4 2'
loop_
_atom_site_label
_atom_site_type_symbol
_atom_site_fract_x
_atom_site_fract_y
_atom_site_fract_z
_atom_site_occupancy
U1 U 0.0000 0.0000 0.0000 1
U2 U 0.0000 0.5000 0.2500 1
Cl1 Cl 0.0000 0.0000 0.5000 1
```

Most intense lines, 15° ≤ 2θ ≤ 90°, in order of rising 2θ:
2θ 19.09, rel. 8, (0 0 2)
2θ 23.81, rel. 20, (1 0 1)
2θ 36.66, rel. 100, (1 1 2)
2θ 38.73, rel. 22, (0 0 4)
2θ 44.40, rel. 29, (2 0 0)
2θ 60.36, rel. 24, (2 0 4)
2θ 64.61, rel. 10, (2 2 0)
2θ 68.75, rel. 17, (1 1 6)
2θ 76.64, rel. 25, (3 1 2)
2θ 77.94, rel. 12, (2 2 4)

No. 3
This entry pairs a crystal structure of UCl5 with its calculated powder diffractogram. Radiation: CuKα. Structure: a GGA-PBE-relaxed structure.
Kinematic intensities with the Lorentz-polarization factor, no thermal factor.

Cell and atoms:
```
data_UCl5
_cell_length_a 8.4313
_cell_length_b 11.2177
_cell_length_c 12.1397
_cell_angle_alpha 90.00
_cell_angle_beta 132.95
_cell_angle_gamma 90.00
_space_group_name_H-M_alt 'P 1 21/c 1'
_space_group_IT_number 14
_space_group_name_Hall '-P 2ybc'
loop_
_atom_site_label
_atom_site_type_symbol
_atom_site_fract_x
_atom_site_fract_y
_atom_site_fract_z
_atom_site_occupancy
U1 U 0.2124 0.1345 0.1614 1
Cl1 Cl 0.0056 0.1285 0.2390 1
Cl2 Cl 0.1690 0.6073 0.6307 1
Cl3 Cl 0.1923 0.1446 0.6463 1
Cl4 Cl 0.4035 0.1274 0.0730 1
Cl5 Cl 0.4385 0.6272 0.0734 1
```

Most intense lines, 15° ≤ 2θ ≤ 90°, in order of rising 2θ:
2θ 16.39, rel. 100, (1 1 0)
2θ 16.62, rel. 42, (1 1 -2)
2θ 18.71, rel. 99, (0 2 1)
2θ 21.08, rel. 30, (2 0 -2)
2θ 21.51, rel. 44, (0 1 2)
2θ 26.07, rel. 30, (1 3 -1)
2θ 31.88, rel. 99, (0 4 0)
2θ 33.64, rel. 56, (3 0 -4)
2θ 45.69, rel. 40, (1 4 2)
2θ 47.04, rel. 34, (3 4 -4)

No. 4
This entry pairs a crystal structure of UCl5 with its calculated powder diffractogram. Radiation: CuKα. Structure: a GGA-PBE-relaxed structure.
Kinematic intensities with the Lorentz-polarization factor, no thermal factor.

Cell and atoms:
```
data_UCl5
_cell_length_a 6.9134
_cell_length_b 7.5458
_cell_length_c 10.2672
_cell_angle_alpha 108.55
_cell_angle_beta 91.04
_cell_angle_gamma 116.20
_space_group_name_H-M_alt 'P -1'
_space_group_IT_number 2
_space_group_name_Hall '-P 1'
loop_
_atom_site_label
_atom_site_type_symbol
_atom_site_fract_x
_atom_site_fract_y
_atom_site_fract_z
_atom_site_occupancy
U1 U 0.1039 0.2118 0.2113 1
Cl1 Cl 0.0622 0.8078 0.5796 1
Cl2 Cl 0.1028 0.6182 0.8477 1
Cl3 Cl 0.2302 0.1710 0.9575 1
Cl4 Cl 0.3006 0.0233 0.2522 1
Cl5 Cl 0.4319 0.5603 0.3265 1
```

Most intense lines, 15° ≤ 2θ ≤ 90°, in order of rising 2θ:
2θ 15.72, rel. 62, (1 0 -1)
2θ 16.05, rel. 56, (1 -1 1)
2θ 18.57, rel. 64, (0 0 2)
2θ 19.47, rel. 45, (0 1 1)
2θ 25.75, rel. 30, (1 1 -2)
2θ 29.08, rel. 100, (1 0 -3)
2θ 29.58, rel. 45, (2 -2 1)
2θ 37.78, rel. 38, (1 2 0)
2θ 37.92, rel. 25, (1 1 -4)
2θ 38.58, rel. 28, (2 -3 2)

No. 5
This entry pairs a crystal structure of UCl4 with its calculated powder diffractogram. Radiation: CuKα. Structure: a GGA-PBE-relaxed structure.
Kinematic intensities with the Lorentz-polarization factor, no thermal factor.

Cell and atoms:
```
data_UCl4
_cell_length_a 8.3671
_cell_length_b 8.3671
_cell_length_c 7.7851
_cell_angle_alpha 90.00
_cell_angle_beta 90.00
_cell_angle_gamma 90.00
_space_group_name_H-M_alt 'I 41/a m d'
_space_group_IT_number 141
loop_
_space_group_symop_operation_xyz
'x,y,z'
'-x,-y,-z'
'-y+1/4,x+3/4,z+1/4'
'y+1/4,-x+3/4,-z+1/4'
'-x+1/2,-y,z+1/2'
'x+1/2,y,-z+1/2'
'y+1/4,-x+1/4,z+3/4'
'-y+1/4,x+1/4,-z+3/4'
'x,-y,-z'
'-x,y,z'
'-y+1/4,-x+1/4,-z+3/4'
'y+1/4,x+1/4,z+3/4'
'-x+1/2,y,-z+1/2'
'x+1/2,-y,z+1/2'
'y+1/4,x+3/4,-z+1/4'
'-y+1/4,-x+3/4,z+1/4'
'x+1/2,y+1/2,z+1/2'
'-x+1/2,-y+1/2,-z+1/2'
'-y+3/4,x+1/4,z+3/4'
'y+3/4,-x+1/4,-z+3/4'
'-x,-y+1/2,z'
'x,y+1/2,-z'
'y+3/4,-x+3/4,z+1/4'
'-y+3/4,x+3/4,-z+1/4'
'x+1/2,-y+1/2,-z+1/2'
'-x+1/2,y+1/2,z+1/2'
'-y+3/4,-x+3/4,-z+1/4'
'y+3/4,x+3/4,z+1/4'
'-x,y+1/2,-z'
'x,-y+1/2,z'
'y+3/4,x+1/4,-z+3/4'
'-y+3/4,-x+1/4,z+3/4'
loop_
_atom_site_label
_atom_site_type_symbol
_atom_site_fract_x
_atom_site_fract_y
_atom_site_fract_z
_atom_site_occupancy
U1 U 0.0000 0.2500 0.3750 1
Cl1 Cl 0.0000 0.0607 0.6912 1
```

Most intense lines, 15° ≤ 2θ ≤ 90°, in order of rising 2θ:
2θ 15.55, rel. 100, (1 0 1)
2θ 21.24, rel. 58, (2 0 0)
2θ 26.43, rel. 29, (2 1 1)
2θ 27.43, rel. 37, (1 1 2)
2θ 34.15, rel. 36, (3 0 1)
2θ 36.24, rel. 28, (1 0 3)
2θ 40.57, rel. 30, (3 2 1)
2θ 41.26, rel. 45, (3 1 2)
2θ 51.98, rel. 17, (3 3 2)
2θ 56.23, rel. 16, (4 3 1)

No. 6
This entry pairs a crystal structure of U3Cl with its calculated powder diffractogram. Radiation: CuKα. Structure: a GGA-PBE-relaxed structure.
Kinematic intensities with the Lorentz-polarization factor, no thermal factor.

Cell and atoms:
```
data_U3Cl
_cell_length_a 4.2454
_cell_length_b 4.2454
_cell_length_c 4.2454
_cell_angle_alpha 90.00
_cell_angle_beta 90.00
_cell_angle_gamma 90.00
_space_group_name_H-M_alt 'P m -3 m'
_space_group_IT_number 221
_space_group_name_Hall '-P 4 2 3'
loop_
_atom_site_label
_atom_site_type_symbol
_atom_site_fract_x
_atom_site_fract_y
_atom_site_fract_z
_atom_site_occupancy
U1 U 0.0000 0.0000 0.5000 1
Cl1 Cl 0.5000 0.5000 0.5000 1
```

Most intense lines, 15° ≤ 2θ ≤ 90°, in order of rising 2θ:
2θ 20.92, rel. 21, (1 0 0)
2θ 29.76, rel. 18, (1 1 0)
2θ 36.66, rel. 100, (1 1 1)
2θ 42.59, rel. 50, (2 0 0)
2θ 47.91, rel. 11, (2 1 0)
2θ 52.82, rel. 8, (2 1 1)
2θ 61.81, rel. 34, (2 2 0)
2θ 66.02, rel. 5, (3 0 0)
2θ 74.06, rel. 41, (3 1 1)
2θ 77.96, rel. 12, (2 2 2)

No. 7
This entry pairs a crystal structure of VCl3 with its calculated powder diffractogram. Radiation: CuKα. Structure: a GGA-PBE-relaxed structure.
Kinematic intensities with the Lorentz-polarization factor, no thermal factor.

Cell and atoms:
```
data_VCl3
_cell_length_a 6.0924
_cell_length_b 6.0924
_cell_length_c 19.6467
_cell_angle_alpha 90.00
_cell_angle_beta 90.00
_cell_angle_gamma 120.00
_space_group_name_H-M_alt 'R -3'
_space_group_IT_number 148
_space_group_name_Hall '-R 3'
loop_
_atom_site_label
_atom_site_type_symbol
_atom_site_fract_x
_atom_site_fract_y
_atom_site_fract_z
_atom_site_occupancy
V1 V 0.0000 0.0000 0.1667 1
Cl1 Cl 0.0000 0.3586 0.5692 1
```

Most intense lines, 15° ≤ 2θ ≤ 90°, in order of rising 2θ:
2θ 17.40, rel. 32, (1 0 1)
2θ 19.09, rel. 22, (0 1 2)
2θ 32.41, rel. 100, (2 -1 3)
2θ 40.44, rel. 64, (2 -1 6)
2θ 51.50, rel. 30, (1 1 9)
2θ 52.00, rel. 28, (3 0 0)
2θ 53.98, rel. 13, (3 0 3)
2θ 62.62, rel. 11, (2 2 3)
2θ 64.63, rel. 8, (1 1 12)
2θ 67.87, rel. 10, (2 2 6)

No. 8
This entry pairs a crystal structure of VCl2 with its calculated powder diffractogram. Radiation: CuKα. Structure: a GGA-PBE-relaxed structure.
Kinematic intensities with the Lorentz-polarization factor, no thermal factor.

Cell and atoms:
```
data_VCl2
_cell_length_a 3.6553
_cell_length_b 3.6553
_cell_length_c 6.0860
_cell_angle_alpha 90.00
_cell_angle_beta 90.00
_cell_angle_gamma 120.00
_space_group_name_H-M_alt 'P -3 m 1'
_space_group_IT_number 164
_space_group_name_Hall '-P 3 2"'
loop_
_atom_site_label
_atom_site_type_symbol
_atom_site_fract_x
_atom_site_fract_y
_atom_site_fract_z
_atom_site_occupancy
V1 V 0.0000 0.0000 0.0000 1
Cl1 Cl 0.3333 0.6667 0.7810 1
```

Most intense lines, 15° ≤ 2θ ≤ 90°, in order of rising 2θ:
2θ 31.86, rel. 100, (1 0 1)
2θ 41.15, rel. 62, (1 0 2)
2θ 49.90, rel. 32, (1 1 0)
2θ 52.26, rel. 16, (1 1 1)
2θ 53.66, rel. 26, (0 1 3)
2θ 60.43, rel. 13, (0 2 1)
2θ 66.60, rel. 13, (0 2 2)
2θ 82.09, rel. 10, (2 1 1)
2θ 82.49, rel. 9, (1 1 4)
2θ 87.63, rel. 12, (2 1 2)